(1)
For TmPu3P4, the GGA-PBE geometry in Alexandria gives the theoretical X-ray powder pattern in this record (Cu Ka).
Peak positions follow from Bragg's law for the DFT cell and can differ from measured ones.

Most intense lines, 10° ≤ 2θ ≤ 90°, sorted by position:
d [Å]	two_theta	Rel. int.	(hkl)
3.251	27.43	100.0	2 2 0
2.815	31.78	93.1	2 0 1
1.991	45.56	57.8	2 4 1
1.989	45.61	11.5	4 0 0
1.698	54.01	49.8	4 2 1
1.626	56.62	24.5	4 4 0
1.260	75.47	16.1	4 4 2
1.259	75.54	16.0	6 0 1
1.150	84.18	12.4	2 4 3
1.149	84.31	12.3	6 4 1

Atomic structure:
a = 7.956 Å, b = 11.258 Å, c = 3.987 Å
α = 90.00°, β = 90.00°, γ = 90.00°
Space group Cmmm (No. 65)
One atom of each set of equivalent atoms:
Tm: 0.000 0.000 0.000
Pu: 0.000 0.500 0.000
Pu: 0.250 0.250 0.500
P: 0.000 0.251 0.000
P: 0.249 0.500 0.500

(2)
For Sc4GaPt3, the GGA-PBE geometry in Alexandria gives the theoretical X-ray powder pattern in this record (Cu Ka).
Peak positions follow from Bragg's law for the DFT cell and can differ from measured ones.

Most intense lines, 10° ≤ 2θ ≤ 90°, sorted by position:
d [Å]	two_theta	Rel. int.	(hkl)
3.999	22.23	5.6	1 0 1
3.319	26.86	40.3	1 0 4
2.347	38.35	100.0	1 1 0
1.915	47.48	9.2	0 2 4
1.660	55.36	16.5	2 0 8
1.486	62.51	7.0	1 1 12
1.483	62.64	8.4	2 1 4
1.358	69.20	6.9	1 0 16
1.354	69.40	25.3	3 0 0
1.172	82.24	5.5	2 2 0

Atomic structure:
a = 4.6890 Å, b = 4.6890 Å, c = 23.0474 Å
α = 90.00°, β = 90.00°, γ = 120.00°
Space group R-3m (No. 166, hexagonal axes)
One atom of each set of equivalent atoms:
Sc: 0.0000 0.0000 0.1218
Sc: 0.0000 0.0000 0.3728
Ga: 0.0000 0.0000 0.5000
Pt: 0.0000 0.0000 0.0000
Pt: 0.0000 0.0000 0.2430

(3)
For ZrV5Si2, the GGA-PBE geometry in Alexandria gives the theoretical X-ray powder pattern in this record (Cu Ka).
Peak positions follow from Bragg's law for the DFT cell and can differ from measured ones.

Most intense lines, 10° ≤ 2θ ≤ 90°, sorted by position:
d [Å]	two_theta	Rel. int.	(hkl)
2.978	30.00	30.1	0 2 2
2.923	30.59	14.4	0 1 3
2.464	36.47	25.4	0 3 1
2.410	37.31	96.4	1 2 1
2.278	39.57	100.0	1 0 3
2.016	44.98	74.9	0 2 4
1.854	49.14	19.6	1 3 2
1.642	56.02	25.8	2 0 0
1.273	74.55	22.1	2 2 4
1.191	80.71	19.4	1 2 7

Atomic structure:
a = 3.283 Å, b = 7.653 Å, c = 9.487 Å
α = 90.00°, β = 90.00°, γ = 90.00°
Space group Immm (No. 71)
One atom of each set of equivalent atoms:
Zr: 0.000 0.000 0.000
V: 0.000 0.190 0.351
V: 0.000 0.500 0.000
Si: 0.000 0.500 0.268

(4)
For Tb2TaCd, the GGA-PBE geometry in Alexandria gives the theoretical X-ray powder pattern in this record (Cu Ka).
Peak positions follow from Bragg's law for the DFT cell and can differ from measured ones.

Most intense lines, 10° ≤ 2θ ≤ 90°, sorted by position:
d [Å]	two_theta	Rel. int.	(hkl)
2.930	30.51	77.5	0 0 12
2.719	32.94	57.9	1 0 1
2.695	33.24	100.0	0 1 2
2.543	35.30	20.7	0 1 5
2.155	41.92	63.0	1 0 10
2.075	43.63	30.6	0 1 11
1.920	47.34	18.1	1 0 13
1.847	49.33	26.6	0 1 14
1.575	58.62	36.8	1 1 0
1.387	67.53	47.4	1 1 12

Atomic structure:
a = 3.1496 Å, b = 3.1496 Å, c = 35.1544 Å
α = 90.00°, β = 90.00°, γ = 120.00°
Space group R-3m (No. 166, hexagonal axes)
One atom of each set of equivalent atoms:
Tb: 0.0000 0.0000 0.0854
Ta: 0.0000 0.0000 0.0000
Cd: 0.0000 0.0000 0.5000

(5)
For KAl2Pt, the GGA-PBE geometry in Alexandria gives the theoretical X-ray powder pattern in this record (Cu Ka).
Peak positions follow from Bragg's law for the DFT cell and can differ from measured ones.

Most intense lines, 10° ≤ 2θ ≤ 90°, sorted by position:
d [Å]	two_theta	Rel. int.	(hkl)
6.387	13.86	100.0	0 0 1
3.700	24.05	66.8	2 0 -1
3.509	25.38	44.3	1 1 -1
3.194	27.94	34.1	0 0 2
2.963	30.16	23.2	1 1 1
2.688	33.33	49.6	2 0 1
2.177	41.48	40.7	0 2 0
2.061	43.94	34.9	3 1 0
2.022	44.83	14.6	1 1 -3
1.799	50.75	38.6	3 1 1

Atomic structure:
a = 7.543 Å, b = 4.354 Å, c = 6.861 Å
α = 90.00°, β = 111.40°, γ = 90.00°
Space group Cm (No. 8)
One atom of each set of equivalent atoms:
K: 0.000 0.000 0.000
Al: 0.028 0.500 0.582
Al: 0.316 0.500 0.446
Pt: 0.177 0.000 0.530

Please write out number 1 again, unchanged.
For TmPu3P4, the GGA-PBE geometry in Alexandria gives the theoretical X-ray powder pattern in this record (Cu Ka).
Peak positions follow from Bragg's law for the DFT cell and can differ from measured ones.

Most intense lines, 10° ≤ 2θ ≤ 90°, sorted by position:
d [Å]	two_theta	Rel. int.	(hkl)
3.251	27.43	100.0	2 2 0
2.815	31.78	93.1	2 0 1
1.991	45.56	57.8	2 4 1
1.989	45.61	11.5	4 0 0
1.698	54.01	49.8	4 2 1
1.626	56.62	24.5	4 4 0
1.260	75.47	16.1	4 4 2
1.259	75.54	16.0	6 0 1
1.150	84.18	12.4	2 4 3
1.149	84.31	12.3	6 4 1

Atomic structure:
a = 7.956 Å, b = 11.258 Å, c = 3.987 Å
α = 90.00°, β = 90.00°, γ = 90.00°
Space group Cmmm (No. 65)
One atom of each set of equivalent atoms:
Tm: 0.000 0.000 0.000
Pu: 0.000 0.500 0.000
Pu: 0.250 0.250 0.500
P: 0.000 0.251 0.000
P: 0.249 0.500 0.500